This entry pairs a crystal structure of Nd5Ge3 with its simulated X-ray powder pattern. Radiation: Cu Ka. Structure: a cell relaxed with PBE.
Kinematic intensities with the Lorentz-polarization factor, no thermal factor.

Largest 10 diffraction maxima, in order of rising 2θ, 10 to 90 degrees two-theta:
d_spacing	2theta	I_rel	(hkl)
3.368	26.47	14.0	0 0 2
3.083	28.96	31.6	1 0 2
2.898	30.86	38.7	2 1 0
2.680	33.43	91.6	1 1 2
2.662	33.67	100.0	2 1 1
2.555	35.12	43.5	3 0 0
1.849	49.27	24.4	2 2 2
1.775	51.49	29.9	2 1 3
1.702	53.87	14.2	3 2 1
1.666	55.14	21.2	4 0 2

Cell and atoms:
a = 8.852 Å, b = 8.852 Å, c = 6.735 Å
α = 90.00°, β = 90.00°, γ = 120.00°
Fractional coordinates of all 16 atoms:
Nd (0.000, 0.245, 0.250)
Nd (0.000, 0.755, 0.750)
Nd (0.245, 0.000, 0.250)
Nd (0.245, 0.245, 0.750)
Nd (0.333, 0.667, 0.000)
Nd (0.333, 0.667, 0.500)
Nd (0.667, 0.333, 0.000)
Nd (0.667, 0.333, 0.500)
Nd (0.755, 0.000, 0.750)
Nd (0.755, 0.755, 0.250)
Ge (0.000, 0.393, 0.750)
Ge (0.000, 0.607, 0.250)
Ge (0.393, 0.000, 0.750)
Ge (0.393, 0.393, 0.250)
Ge (0.607, 0.000, 0.250)
Ge (0.607, 0.607, 0.750)